Entry 1:
Calculated powder XRD pattern
Compound: HPb3Cl4OF
Radiation: λ = 1.5418 Å (Cu Kα)
Structure: a cell relaxed with PBE

Crystal structure
abc: 7.2339 8.0188 9.4733
angles: 109.56 96.77 95.05
Sites, in units of the cell vectors:
H 0.0266 0.2246 0.4712
H 0.9734 0.7754 0.5288
Pb 0.2302 0.8068 0.8898
Pb 0.3176 0.3233 0.9527
Pb 0.3551 0.1977 0.3666
Pb 0.6449 0.8023 0.6334
Pb 0.6824 0.6767 0.0473
Pb 0.7698 0.1932 0.1102
Cl 0.0467 0.8884 0.1738
Cl 0.1420 0.4174 0.2091
Cl 0.3095 0.5835 0.5960
Cl 0.4000 0.0896 0.6706
Cl 0.6000 0.9104 0.3294
Cl 0.6905 0.4165 0.4040
Cl 0.8580 0.5826 0.7909
Cl 0.9533 0.1116 0.8262
O 0.3774 0.6014 0.9625
O 0.6226 0.3986 0.0375
F 0.4043 0.1172 0.1028
F 0.5957 0.8828 0.8972

The 10 most intense peaks (2θ = 15–90°), in order of rising 2θ:
| 2θ (°) | d_spacing | Rel. int. |
| --- | --- | --- |
| 18.0 | 4.921 | 45.1 |
| 22.0 | 4.042 | 87.3 |
| 23.8 | 3.744 | 58.0 |
| 24.0 | 3.706 | 38.4 |
| 24.8 | 3.589 | 66.2 |
| 25.4 | 3.503 | 39.5 |
| 28.3 | 3.158 | 100.0 |
| 31.0 | 2.880 | 46.7 |
| 35.2 | 2.549 | 48.3 |
| 40.9 | 2.206 | 40.6 |

---

Entry 2:
Calculated powder XRD pattern
Compound: SmEr4Mg7
Radiation: λ = 1.5418 Å (Cu Kα)
Structure: a cell relaxed with PBE

Crystal structure
abc: 5.2891 5.2891 13.1981
angles: 90.00 90.00 120.00
Sites, in units of the cell vectors:
Sm 0.0000 0.0000 0.0000
Er 0.3333 0.6667 0.1651
Er 0.3333 0.6667 0.4241
Er 0.6667 0.3333 0.5759
Er 0.6667 0.3333 0.8349
Mg 0.0000 0.0000 0.2646
Mg 0.0000 0.0000 0.5000
Mg 0.0000 0.0000 0.7353
Mg 0.3333 0.6667 0.6805
Mg 0.3333 0.6667 0.9171
Mg 0.6667 0.3333 0.0829
Mg 0.6667 0.3333 0.3195

The 10 most intense peaks (2θ = 15–90°), in order of rising 2θ:
| 2θ (°) | d_spacing | Rel. int. |
| --- | --- | --- |
| 20.5 | 4.327 | 85.5 |
| 28.1 | 3.173 | 49.2 |
| 33.5 | 2.677 | 100.0 |
| 33.9 | 2.644 | 100.0 |
| 40.0 | 2.257 | 15.8 |
| 48.4 | 1.881 | 35.5 |
| 59.6 | 1.552 | 16.9 |
| 60.4 | 1.534 | 50.9 |
| 60.7 | 1.527 | 17.6 |
| 81.1 | 1.186 | 21.8 |

---

Entry 3:
Calculated powder XRD pattern
Compound: SrBOs
Radiation: λ = 1.5418 Å (Cu Kα)
Structure: a cell relaxed with PBE

Crystal structure
abc: 9.2098 9.2098 9.2098
angles: 155.19 155.19 35.37
Sites, in units of the cell vectors:
Sr 0.1426 0.1426 0.0000
Sr 0.8574 0.8574 0.0000
B 0.4474 0.4474 0.0000
B 0.5526 0.5526 0.0000
Os 0.0000 0.5000 0.5000
Os 0.5000 0.0000 0.5000

The 10 most intense peaks (2θ = 15–90°), in order of rising 2θ:
| 2θ (°) | d_spacing | Rel. int. |
| --- | --- | --- |
| 20.2 | 4.387 | 20.6 |
| 27.2 | 3.277 | 25.1 |
| 30.6 | 2.925 | 36.4 |
| 33.6 | 2.665 | 79.9 |
| 38.2 | 2.359 | 100.0 |
| 45.9 | 1.978 | 33.8 |
| 47.1 | 1.930 | 23.7 |
| 56.1 | 1.639 | 26.7 |
| 62.5 | 1.487 | 25.2 |
| 79.7 | 1.203 | 24.1 |

---

Entry 4:
Calculated powder XRD pattern
Compound: CaSm12Tm5
Radiation: λ = 1.5418 Å (Cu Kα)
Structure: a cell relaxed with PBE

Crystal structure
abc: 10.7890 5.1028 10.8087
angles: 90.00 90.40 90.00
Sites, in units of the cell vectors:
Ca 0.0000 0.0000 0.0000
Sm 0.0023 0.0000 0.6629
Sm 0.1686 0.5000 0.5011
Sm 0.1712 0.5000 0.1714
Sm 0.3341 0.0000 0.3340
Sm 0.3371 0.0000 0.9978
Sm 0.4987 0.5000 0.8315
Sm 0.5013 0.5000 0.1685
Sm 0.6629 0.0000 0.0022
Sm 0.6659 0.0000 0.6660
Sm 0.8288 0.5000 0.8286
Sm 0.8314 0.5000 0.4989
Sm 0.9977 0.0000 0.3371
Tm 0.1730 0.5000 0.8270
Tm 0.3341 0.0000 0.6660
Tm 0.5000 0.5000 0.5000
Tm 0.6659 0.0000 0.3340
Tm 0.8270 0.5000 0.1730

The 10 most intense peaks (2θ = 15–90°), in order of rising 2θ:
| 2θ (°) | d_spacing | Rel. int. |
| --- | --- | --- |
| 30.4 | 2.941 | 100.0 |
| 35.2 | 2.553 | 33.9 |
| 35.4 | 2.536 | 16.7 |
| 50.6 | 1.805 | 12.1 |
| 50.7 | 1.799 | 23.9 |
| 60.1 | 1.540 | 7.1 |
| 60.2 | 1.538 | 21.5 |
| 60.5 | 1.531 | 14.1 |
| 63.2 | 1.471 | 12.3 |
| 82.7 | 1.167 | 8.7 |

---

Entry 5:
Calculated powder XRD pattern
Compound: ThCoP2Ir2
Radiation: λ = 1.5418 Å (Cu Kα)
Structure: a cell relaxed with PBE

Crystal structure
abc: 9.0798 9.0798 9.0798
angles: 155.40 155.40 35.06
Sites, in units of the cell vectors:
Th 0.0000 0.0000 0.0000
Co 0.5000 0.5000 0.0000
P 0.1739 0.1739 0.0000
P 0.8261 0.8261 0.0000
Ir 0.2500 0.7500 0.5000
Ir 0.7500 0.2500 0.5000

The 10 most intense peaks (2θ = 15–90°), in order of rising 2θ:
| 2θ (°) | d_spacing | Rel. int. |
| --- | --- | --- |
| 20.5 | 4.329 | 94.3 |
| 23.6 | 3.775 | 23.5 |
| 34.4 | 2.608 | 100.0 |
| 45.7 | 1.985 | 60.0 |
| 47.0 | 1.934 | 27.8 |
| 51.8 | 1.766 | 33.4 |
| 63.6 | 1.463 | 18.9 |
| 64.6 | 1.442 | 21.1 |
| 79.1 | 1.211 | 18.7 |
| 86.4 | 1.126 | 27.1 |

---

Entry 6:
Calculated powder XRD pattern
Compound: HfRe2SbO
Radiation: λ = 1.5418 Å (Cu Kα)
Structure: a cell relaxed with PBE

Crystal structure
abc: 4.2436 4.2436 4.3102
angles: 90.00 90.00 90.00
Sites, in units of the cell vectors:
Hf 0.0000 0.0000 0.0000
Re 0.0000 0.5000 0.5000
Re 0.5000 0.0000 0.5000
Sb 0.5000 0.5000 0.0000
O 0.0000 0.0000 0.5000

The 10 most intense peaks (2θ = 15–90°), in order of rising 2θ:
| 2θ (°) | d_spacing | Rel. int. |
| --- | --- | --- |
| 20.6 | 4.310 | 1.9 |
| 20.9 | 4.244 | 2.5 |
| 36.5 | 2.463 | 100.0 |
| 41.9 | 2.155 | 18.8 |
| 42.6 | 2.122 | 35.9 |
| 61.3 | 1.512 | 24.4 |
| 61.8 | 1.500 | 11.9 |
| 73.0 | 1.296 | 13.6 |
| 74.0 | 1.281 | 26.1 |
| 77.5 | 1.231 | 12.4 |

---

Entry 7:
Calculated powder XRD pattern
Compound: MgBeCl
Radiation: λ = 1.5418 Å (Cu Kα)
Structure: a cell relaxed with PBE

Crystal structure
abc: 3.4326 3.4326 10.9977
angles: 97.28 97.28 69.76
Sites, in units of the cell vectors:
Mg 0.0000 0.0000 0.0000
Mg 0.6800 0.6800 0.3950
Be 0.3260 0.3260 0.1976
Be 0.7037 0.7037 0.1688
Cl 0.0804 0.0804 0.5216
Cl 0.6042 0.6042 0.8664

The 10 most intense peaks (2θ = 15–90°), in order of rising 2θ:
| 2θ (°) | d_spacing | Rel. int. |
| --- | --- | --- |
| 16.3 | 5.433 | 95.9 |
| 24.6 | 3.622 | 14.5 |
| 31.1 | 2.877 | 100.0 |
| 32.2 | 2.782 | 28.3 |
| 33.7 | 2.661 | 20.9 |
| 34.5 | 2.600 | 12.7 |
| 38.6 | 2.334 | 20.3 |
| 41.6 | 2.171 | 43.3 |
| 45.6 | 1.988 | 29.6 |
| 46.2 | 1.963 | 21.8 |

---

Entry 8:
Calculated powder XRD pattern
Compound: ZnGa4S7
Radiation: λ = 1.5418 Å (Cu Kα)
Structure: a cell relaxed with PBE

Crystal structure
abc: 15.2236 6.5199 6.1736
angles: 90.00 90.00 90.00
Sites, in units of the cell vectors:
Zn 0.0000 0.1720 0.0000
Zn 0.5000 0.8280 0.5000
Ga 0.1283 0.3587 0.6821
Ga 0.2435 0.8326 0.6797
Ga 0.2565 0.1674 0.1797
Ga 0.3717 0.6413 0.1821
Ga 0.6283 0.6413 0.1821
Ga 0.7435 0.1674 0.1797
Ga 0.7565 0.8326 0.6797
Ga 0.8717 0.3587 0.6821
S 0.0000 0.1667 0.6168
S 0.1212 0.6802 0.5623
S 0.1302 0.3329 0.0652
S 0.2488 0.8285 0.0618
S 0.2512 0.1715 0.5618
S 0.3698 0.6671 0.5652
S 0.3788 0.3198 0.0623
S 0.5000 0.8333 0.1168
S 0.6212 0.3198 0.0623
S 0.6302 0.6671 0.5652
S 0.7488 0.1715 0.5618
S 0.7512 0.8285 0.0618
S 0.8698 0.3329 0.0652
S 0.8788 0.6802 0.5623

The 10 most intense peaks (2θ = 15–90°), in order of rising 2θ:
| 2θ (°) | d_spacing | Rel. int. |
| --- | --- | --- |
| 15.5 | 5.721 | 59.2 |
| 23.0 | 3.863 | 42.6 |
| 27.1 | 3.287 | 100.0 |
| 27.4 | 3.260 | 39.2 |
| 28.9 | 3.087 | 71.9 |
| 32.6 | 2.743 | 40.8 |
| 47.8 | 1.902 | 61.0 |
| 48.2 | 1.887 | 66.3 |
| 52.5 | 1.744 | 33.0 |
| 57.2 | 1.610 | 34.1 |

---

Entry 9:
Calculated powder XRD pattern
Compound: Th7Ga5Au
Radiation: λ = 1.5418 Å (Cu Kα)
Structure: a cell relaxed with PBE

Crystal structure
abc: 8.1001 8.1001 8.1001
angles: 135.53 99.80 96.67
Sites, in units of the cell vectors:
Th 0.0000 0.0000 0.0000
Th 0.2960 0.6205 0.6754
Th 0.3801 0.3801 0.0000
Th 0.4327 0.1004 0.3323
Th 0.7681 0.1004 0.6677
Th 0.8426 0.3426 0.5000
Th 0.9451 0.6205 0.3246
Ga 0.1086 0.1012 0.4800
Ga 0.1086 0.6287 0.0074
Ga 0.3572 0.8572 0.5000
Ga 0.6212 0.1012 0.9926
Ga 0.6212 0.6287 0.5200
Au 0.6740 0.6740 0.0000

The 10 most intense peaks (2θ = 15–90°), in order of rising 2θ:
| 2θ (°) | d_spacing | Rel. int. |
| --- | --- | --- |
| 28.8 | 3.098 | 37.2 |
| 29.1 | 3.065 | 55.2 |
| 29.5 | 3.025 | 68.0 |
| 33.3 | 2.692 | 33.5 |
| 33.6 | 2.664 | 52.0 |
| 34.0 | 2.638 | 100.0 |
| 37.5 | 2.399 | 28.9 |
| 37.9 | 2.372 | 57.5 |
| 61.3 | 1.513 | 25.6 |
| 62.6 | 1.485 | 22.7 |

---

Entry 10:
Calculated powder XRD pattern
Compound: Re3C4
Radiation: λ = 1.5418 Å (Cu Kα)
Structure: a cell relaxed with PBE

Crystal structure
abc: 4.2446 4.2446 4.2446
angles: 90.00 90.00 90.00
Sites, in units of the cell vectors:
Re 0.0000 0.0000 0.5000
Re 0.0000 0.5000 0.0000
Re 0.5000 0.0000 0.0000
C 0.0000 0.0000 0.0000
C 0.0000 0.5000 0.5000
C 0.5000 0.0000 0.5000
C 0.5000 0.5000 0.0000

The 10 most intense peaks (2θ = 15–90°), in order of rising 2θ:
| 2θ (°) | d_spacing | Rel. int. |
| --- | --- | --- |
| 20.9 | 4.245 | 40.1 |
| 29.8 | 3.001 | 33.8 |
| 36.7 | 2.451 | 100.0 |
| 42.6 | 2.122 | 66.5 |
| 47.9 | 1.898 | 18.5 |
| 52.8 | 1.733 | 13.9 |
| 61.8 | 1.501 | 43.7 |
| 66.0 | 1.415 | 8.9 |
| 74.1 | 1.280 | 41.4 |
| 78.0 | 1.225 | 14.9 |